BaInO: simulated XRD peak list (copper Kα), based on a crystal structure in Alexandria, relaxed with GGA-PBE.
Lines closer than 0.1° are merged.

Most intense lines, 5 to 70 degrees two-theta, by intensity:
| Position (°2θ) | d_spacing | I_rel |
| --- | --- | --- |
| 28.69 | 3.112 | 100 |
| 34.42 | 2.606 | 39 |
| 46.83 | 1.940 | 28 |
| 58.18 | 1.586 | 27 |
| 30.78 | 2.905 | 23 |
| 53.44 | 1.714 | 21 |
| 59.40 | 1.556 | 14 |
| 49.46 | 1.843 | 13 |
| 64.11 | 1.453 | 2 |
| 15.25 | 5.810 | 2 |
| 37.84 | 2.378 | 1 |

Crystal structure
Cell: 3.685 3.685 5.810 Å, 90.00 90.00 90.00°
Fractional positions:
1 Ba 0.000 0.000 0.000
2 In 0.500 0.500 0.500
3 O 0.500 0.500 0.874

Ba4InO: simulated XRD peak list (copper Kα), based on a crystal structure in Alexandria, relaxed with GGA-PBE.
Lines closer than 0.1° are merged.

Most intense lines, 5 to 70 degrees two-theta, by intensity:
| Position (°2θ) | d_spacing | I_rel |
| --- | --- | --- |
| 27.91 | 3.197 | 100 |
| 26.44 | 3.371 | 93 |
| 34.16 | 2.625 | 56 |
| 47.38 | 1.919 | 44 |
| 31.83 | 2.811 | 40 |
| 55.81 | 1.647 | 28 |
| 53.75 | 1.705 | 26 |
| 54.38 | 1.687 | 22 |
| 28.23 | 3.161 | 17 |
| 56.94 | 1.617 | 15 |
| 45.90 | 1.977 | 14 |
| 53.52 | 1.712 | 14 |

Crystal structure
Cell: 10.898 10.898 7.908 Å, 90.00 90.00 150.10°
Fractional positions:
1 Ba 0.000 0.000 0.000
2 Ba 0.000 0.000 0.500
3 Ba 0.180 0.820 0.503
4 Ba 0.180 0.820 0.997
5 Ba 0.415 0.585 0.750
6 Ba 0.585 0.415 0.250
7 Ba 0.820 0.180 0.003
8 Ba 0.820 0.180 0.497
9 In 0.400 0.600 0.250
10 In 0.600 0.400 0.750
11 O 0.094 0.906 0.250
12 O 0.906 0.094 0.750

Ba5InO6: simulated XRD peak list (copper Kα), based on a crystal structure in Alexandria, relaxed with GGA-PBE.
Lines closer than 0.1° are merged.

Most intense lines, 5 to 70 degrees two-theta, by intensity:
| Position (°2θ) | d_spacing | I_rel |
| --- | --- | --- |
| 32.34 | 2.768 | 100 |
| 27.90 | 3.198 | 86 |
| 55.00 | 1.669 | 49 |
| 46.36 | 1.959 | 47 |
| 27.97 | 3.191 | 28 |
| 46.46 | 1.955 | 23 |
| 57.65 | 1.599 | 18 |
| 67.70 | 1.384 | 11 |
| 57.80 | 1.595 | 6 |
| 55.13 | 1.666 | 4 |

Crystal structure
Cell: 6.786 6.786 6.766 Å, 99.58 99.58 119.99°
Fractional positions:
1 Ba 0.000 0.000 0.000
2 Ba 0.168 0.832 0.500
3 Ba 0.338 0.662 0.000
4 Ba 0.662 0.338 0.000
5 Ba 0.832 0.168 0.500
6 In 0.500 0.500 0.500
7 O 0.089 0.417 0.251
8 O 0.254 0.254 0.750
9 O 0.417 0.089 0.251
10 O 0.583 0.911 0.749
11 O 0.746 0.746 0.250
12 O 0.911 0.583 0.749

Ba8In8O19: simulated XRD peak list (copper Kα), based on a crystal structure in Alexandria, relaxed with GGA-PBE.
Lines closer than 0.1° are merged.

Most intense lines, 5 to 70 degrees two-theta, by intensity:
| Position (°2θ) | d_spacing | I_rel |
| --- | --- | --- |
| 29.47 | 3.031 | 100 |
| 29.69 | 3.009 | 93 |
| 29.59 | 3.019 | 62 |
| 28.62 | 3.119 | 53 |
| 41.30 | 2.186 | 28 |
| 43.01 | 2.103 | 23 |
| 41.96 | 2.153 | 22 |
| 52.28 | 1.750 | 21 |
| 52.70 | 1.737 | 17 |
| 53.07 | 1.726 | 17 |
| 51.08 | 1.788 | 15 |
| 10.52 | 8.413 | 14 |

Crystal structure
Cell: 9.482 9.482 8.616 Å, 90.86 90.86 125.05°
Fractional positions:
1 Ba 0.121 0.830 0.516
2 Ba 0.138 0.862 0.000
3 Ba 0.340 0.619 0.014
4 Ba 0.360 0.640 0.498
5 Ba 0.619 0.340 0.014
6 Ba 0.640 0.360 0.498
7 Ba 0.830 0.121 0.516
8 Ba 0.862 0.138 0.000
9 In 0.195 0.195 0.314
10 In 0.250 0.250 0.672
11 In 0.488 0.993 0.760
12 In 0.489 0.994 0.258
13 In 0.696 0.696 0.777
14 In 0.760 0.760 0.218
15 In 0.993 0.488 0.760
16 In 0.994 0.489 0.258
17 O 0.107 0.326 0.785
18 O 0.169 0.392 0.243
19 O 0.233 0.751 0.254
20 O 0.251 0.731 0.754
21 O 0.326 0.107 0.785
22 O 0.392 0.169 0.243
23 O 0.481 0.996 0.509
24 O 0.492 0.492 0.641
25 O 0.494 0.979 0.008
26 O 0.612 0.839 0.302
27 O 0.627 0.627 0.009
28 O 0.674 0.898 0.743
29 O 0.731 0.251 0.754
30 O 0.751 0.233 0.254
31 O 0.839 0.612 0.302
32 O 0.898 0.674 0.743
33 O 0.979 0.494 0.008
34 O 0.994 0.994 0.166
35 O 0.996 0.481 0.509

Ba4InO: simulated XRD peak list (copper Kα), based on a crystal structure in Alexandria, relaxed with GGA-PBE.
Lines closer than 0.1° are merged.

Most intense lines, 5 to 70 degrees two-theta, by intensity:
| Position (°2θ) | d_spacing | I_rel |
| --- | --- | --- |
| 25.34 | 3.515 | 100 |
| 26.35 | 3.382 | 93 |
| 29.77 | 3.001 | 59 |
| 26.83 | 3.323 | 36 |
| 47.69 | 1.907 | 25 |
| 25.09 | 3.549 | 24 |
| 18.95 | 4.684 | 23 |
| 45.94 | 1.976 | 21 |
| 30.28 | 2.952 | 17 |
| 38.35 | 2.347 | 17 |
| 38.19 | 2.356 | 16 |
| 42.61 | 2.122 | 15 |

Crystal structure
Cell: 10.692 10.692 7.681 Å, 110.99 110.99 118.93°
Fractional positions:
1 Ba 0.063 0.670 0.871
2 Ba 0.200 0.308 0.637
3 Ba 0.308 0.200 0.137
4 Ba 0.330 0.937 0.629
5 Ba 0.670 0.063 0.371
6 Ba 0.692 0.800 0.863
7 Ba 0.800 0.692 0.363
8 Ba 0.937 0.330 0.129
9 In 0.375 0.625 0.250
10 In 0.625 0.375 0.750
11 O 0.125 0.875 0.750
12 O 0.875 0.125 0.250

Ba5In5O12: simulated XRD peak list (copper Kα), based on a crystal structure in Alexandria, relaxed with GGA-PBE.
Lines closer than 0.1° are merged.

Most intense lines, 5 to 70 degrees two-theta, by intensity:
| Position (°2θ) | d_spacing | I_rel |
| --- | --- | --- |
| 29.59 | 3.019 | 100 |
| 29.08 | 3.070 | 98 |
| 29.75 | 3.003 | 56 |
| 30.48 | 2.933 | 53 |
| 40.81 | 2.211 | 32 |
| 42.37 | 2.133 | 25 |
| 51.31 | 1.781 | 24 |
| 43.84 | 2.065 | 23 |
| 52.96 | 1.729 | 19 |
| 53.05 | 1.726 | 19 |
| 51.68 | 1.769 | 12 |
| 51.87 | 1.763 | 12 |

Crystal structure
Cell: 6.009 7.336 9.772 Å, 71.85 72.67 88.51°
Fractional positions:
1 Ba 0.000 0.000 0.000
2 Ba 0.201 0.783 0.600
3 Ba 0.391 0.597 0.200
4 Ba 0.609 0.403 0.800
5 Ba 0.799 0.217 0.400
6 In 0.000 0.500 0.000
7 In 0.178 0.273 0.608
8 In 0.410 0.084 0.209
9 In 0.590 0.916 0.791
10 In 0.822 0.727 0.392
11 O 0.000 0.500 0.500
12 O 0.052 0.979 0.269
13 O 0.103 0.403 0.801
14 O 0.315 0.217 0.391
15 O 0.320 0.681 0.913
16 O 0.483 0.177 0.665
17 O 0.500 0.000 0.000
18 O 0.517 0.823 0.335
19 O 0.680 0.319 0.087
20 O 0.685 0.783 0.609
21 O 0.897 0.597 0.199
22 O 0.948 0.021 0.731

BaIn2O4: simulated XRD peak list (copper Kα), based on a crystal structure in Alexandria, relaxed with GGA-PBE.
Lines closer than 0.1° are merged.

Most intense lines, 5 to 70 degrees two-theta, by intensity:
| Position (°2θ) | d_spacing | I_rel |
| --- | --- | --- |
| 30.05 | 2.973 | 100 |
| 31.66 | 2.827 | 55 |
| 44.21 | 2.049 | 28 |
| 54.39 | 1.687 | 26 |
| 63.28 | 1.470 | 24 |
| 35.97 | 2.497 | 19 |
| 53.38 | 1.716 | 16 |
| 54.24 | 1.691 | 13 |
| 38.12 | 2.361 | 11 |
| 27.42 | 3.253 | 9 |
| 28.79 | 3.101 | 8 |
| 49.22 | 1.851 | 8 |

Crystal structure
Cell: 10.291 3.381 11.905 Å, 90.00 90.00 90.00°
Fractional positions:
1 Ba 0.245 0.250 0.152
2 Ba 0.255 0.750 0.652
3 Ba 0.745 0.250 0.348
4 Ba 0.755 0.750 0.848
5 In 0.070 0.250 0.391
6 In 0.079 0.250 0.894
7 In 0.421 0.750 0.394
8 In 0.430 0.750 0.891
9 In 0.570 0.250 0.109
10 In 0.579 0.250 0.606
11 In 0.921 0.750 0.106
12 In 0.930 0.750 0.609
13 O 0.022 0.750 0.783
14 O 0.072 0.250 0.574
15 O 0.115 0.750 0.016
16 O 0.206 0.750 0.346
17 O 0.294 0.250 0.846
18 O 0.385 0.250 0.516
19 O 0.428 0.750 0.074
20 O 0.478 0.250 0.283
21 O 0.522 0.750 0.717
22 O 0.572 0.250 0.926
23 O 0.615 0.750 0.484
24 O 0.706 0.750 0.154
25 O 0.794 0.250 0.654
26 O 0.885 0.250 0.984
27 O 0.928 0.750 0.426
28 O 0.978 0.250 0.217

Ba4Pa3InO12: simulated XRD peak list (copper Kα), based on a crystal structure in Alexandria, relaxed with GGA-PBE.
Lines closer than 0.1° are merged.

Most intense lines, 5 to 70 degrees two-theta, by intensity:
| Position (°2θ) | d_spacing | I_rel |
| --- | --- | --- |
| 27.81 | 3.208 | 100 |
| 49.19 | 1.852 | 43 |
| 39.73 | 2.269 | 28 |
| 65.00 | 1.435 | 19 |
| 57.45 | 1.604 | 18 |
| 19.57 | 4.537 | 8 |
| 13.80 | 6.416 | 4 |
| 44.66 | 2.029 | 4 |
| 24.02 | 3.705 | 2 |
| 61.29 | 1.512 | 2 |
| 37.07 | 2.425 | 1 |
| 51.34 | 1.780 | 1 |

Crystal structure
Cell: 7.858 7.858 7.858 Å, 109.47 109.47 109.47°
Fractional positions:
1 Ba 0.000 0.000 0.500
2 Ba 0.000 0.500 0.000
3 Ba 0.500 0.000 0.000
4 Ba 0.500 0.500 0.500
5 Pa 0.000 0.500 0.500
6 Pa 0.500 0.000 0.500
7 Pa 0.500 0.500 0.000
8 In 0.000 0.000 0.000
9 O 0.000 0.275 0.275
10 O 0.000 0.725 0.725
11 O 0.250 0.500 0.750
12 O 0.250 0.750 0.500
13 O 0.275 0.000 0.275
14 O 0.275 0.275 0.000
15 O 0.500 0.250 0.750
16 O 0.500 0.750 0.250
17 O 0.725 0.000 0.725
18 O 0.725 0.725 0.000
19 O 0.750 0.250 0.500
20 O 0.750 0.500 0.250